PaMn5P3: calculated powder diffractogram (Cu Ka), based on a crystal structure in Alexandria, relaxed with GGA-PBE.
Kinematic intensities with the Lorentz-polarization factor, no thermal factor.

Lattice parameters (Å, degrees): 6.2436 6.2436 10.6103 90.00 90.00 144.65
Atoms (fractional coordinates):
Pa: 0.1858 0.8142 0.7500
Pa: 0.8142 0.1858 0.2500
Mn: 0.0000 0.0000 0.0000
Mn: 0.0000 0.0000 0.5000
Mn: 0.1895 0.8105 0.0633
Mn: 0.1895 0.8105 0.4367
Mn: 0.4604 0.5396 0.6454
Mn: 0.4604 0.5396 0.8546
Mn: 0.5396 0.4604 0.1454
Mn: 0.5396 0.4604 0.3546
Mn: 0.8105 0.1895 0.5633
Mn: 0.8105 0.1895 0.9367
P: 0.1063 0.8937 0.2500
P: 0.3698 0.6302 0.0452
P: 0.3698 0.6302 0.4548
P: 0.6302 0.3698 0.5452
P: 0.6302 0.3698 0.9548
P: 0.8937 0.1063 0.7500

Main lines, by intensity (5° ≤ 2θ ≤ 70°):
- 2θ = 35.5°, rel. 100
- 2θ = 36.9°, rel. 69
- 2θ = 32.7°, rel. 61
- 2θ = 26.1°, rel. 56
- 2θ = 31.2°, rel. 55
- 2θ = 48.0°, rel. 39
- 2θ = 42.3°, rel. 38
- 2θ = 39.6°, rel. 35

---

CsMnI3: calculated powder diffractogram (Cu Ka), based on a crystal structure in Alexandria, relaxed with GGA-PBE.
Kinematic intensities with the Lorentz-polarization factor, no thermal factor.

Lattice parameters (Å, degrees): 8.1807 7.8497 16.8630 90.00 119.02 90.00
Atoms (fractional coordinates):
Cs: 0.2226 0.2386 0.2126
Cs: 0.2226 0.2614 0.7126
Cs: 0.7774 0.7386 0.2874
Cs: 0.7774 0.7614 0.7874
Mn: 0.4489 0.7488 0.4534
Mn: 0.4489 0.7512 0.9534
Mn: 0.5511 0.2488 0.0466
Mn: 0.5511 0.2512 0.5466
I: 0.2386 0.0490 0.9723
I: 0.2386 0.4510 0.4723
I: 0.2527 0.7416 0.2697
I: 0.2527 0.7584 0.7697
I: 0.3208 0.5503 0.0442
I: 0.3208 0.9497 0.5442
I: 0.6792 0.0503 0.4558
I: 0.6792 0.4497 0.9558
I: 0.7473 0.2416 0.2303
I: 0.7473 0.2584 0.7303
I: 0.7614 0.5490 0.5277
I: 0.7614 0.9510 0.0277

Main lines, by intensity (5° ≤ 2θ ≤ 70°):
- 2θ = 24.9°, rel. 100
- 2θ = 31.6°, rel. 84
- 2θ = 25.7°, rel. 78
- 2θ = 24.1°, rel. 44
- 2θ = 40.2°, rel. 36
- 2θ = 44.5°, rel. 29
- 2θ = 28.9°, rel. 28
- 2θ = 27.4°, rel. 23

---

Pm2Te2O: calculated powder diffractogram (Cu Ka), based on a crystal structure in Alexandria, relaxed with GGA-PBE.
Kinematic intensities with the Lorentz-polarization factor, no thermal factor.

Lattice parameters (Å, degrees): 7.7344 7.7344 7.7344 124.47 75.38 133.35
Atoms (fractional coordinates):
Pm: 0.0967 0.1899 0.2866
Pm: 0.4033 0.6899 0.0932
Pm: 0.5967 0.3101 0.9068
Pm: 0.9033 0.8101 0.7134
Te: 0.1443 0.6478 0.7921
Te: 0.3557 0.1478 0.5034
Te: 0.6443 0.8522 0.4966
Te: 0.8557 0.3522 0.2079
O: 0.2500 0.2500 0.0000
O: 0.7500 0.7500 0.0000

Main lines, by intensity (5° ≤ 2θ ≤ 70°):
- 2θ = 29.2°, rel. 100
- 2θ = 29.7°, rel. 77
- 2θ = 36.4°, rel. 42
- 2θ = 35.1°, rel. 40
- 2θ = 41.7°, rel. 35
- 2θ = 38.6°, rel. 31
- 2θ = 24.7°, rel. 24
- 2θ = 64.0°, rel. 18

---

Tb2Pr7Tm2: calculated powder diffractogram (Cu Ka), based on a crystal structure in Alexandria, relaxed with GGA-PBE.
Kinematic intensities with the Lorentz-polarization factor, no thermal factor.

Lattice parameters (Å, degrees): 7.0137 7.0137 8.2968 98.32 98.32 103.88
Atoms (fractional coordinates):
Tb: 0.0835 0.0835 0.3201
Tb: 0.9165 0.9165 0.6799
Pr: 0.0148 0.5914 0.3287
Pr: 0.2997 0.2997 0.0153
Pr: 0.4086 0.9852 0.6713
Pr: 0.5000 0.5000 0.5000
Pr: 0.5914 0.0148 0.3287
Pr: 0.7003 0.7003 0.9847
Pr: 0.9852 0.4086 0.6713
Tm: 0.2133 0.7867 0.0000
Tm: 0.7867 0.2133 0.0000

Main lines, by intensity (5° ≤ 2θ ≤ 70°):
- 2θ = 30.8°, rel. 100
- 2θ = 31.4°, rel. 67
- 2θ = 33.3°, rel. 35
- 2θ = 32.4°, rel. 34
- 2θ = 33.0°, rel. 34
- 2θ = 32.3°, rel. 30
- 2θ = 29.7°, rel. 26
- 2θ = 52.3°, rel. 22